Diffraction record for SrLaMnFeO6. The powder diffractogram is computed, not measured: it uses the GGA+U geometry in Alexandria and a wavelength of 1.5418 Å.
Neutral-atom scattering factors, no anomalous dispersion.

Top 12 peaks for 2θ = 10–80°, low angle first:
2θ (°), d_spacing, I/Imax
19.64, 4.520, 7
22.72, 3.914, 9
32.22, 2.779, 19
32.38, 2.765, 100
39.81, 2.264, 9
39.98, 2.255, 9
46.35, 1.959, 26
46.50, 1.953, 13
57.54, 1.602, 17
57.70, 1.598, 8
57.80, 1.595, 23
67.76, 1.383, 14

Crystal structure
```
data_SrLaMnFeO6
_cell_length_a 5.557
_cell_length_b 5.524
_cell_length_c 9.582
_cell_angle_alpha 90.00
_cell_angle_beta 125.39
_cell_angle_gamma 90.00
_symmetry_space_group_name_H-M 'P 1'
_symmetry_Int_Tables_number 1
loop_
_symmetry_equiv_pos_as_xyz
'x,y,z'
loop_
_atom_site_label
_atom_site_type_symbol
_atom_site_fract_x
_atom_site_fract_y
_atom_site_fract_z
_atom_site_occupancy
Sr1 Sr 0.000 0.237 0.000 1
Sr2 Sr 0.000 0.763 0.500 1
La1 La 0.508 0.269 0.500 1
La2 La 0.508 0.731 0.000 1
Mn1 Mn 0.752 0.249 0.250 1
Mn2 Mn 0.752 0.751 0.750 1
Fe1 Fe 0.252 0.248 0.750 1
Fe2 Fe 0.252 0.752 0.250 1
O1 O 0.064 0.246 0.496 1
O2 O 0.064 0.754 0.996 1
O3 O 0.456 0.259 0.005 1
O4 O 0.456 0.741 0.505 1
O5 O 0.516 0.027 0.283 1
O6 O 0.516 0.973 0.783 1
O7 O 0.548 0.490 0.780 1
O8 O 0.548 0.510 0.280 1
O9 O 0.943 0.019 0.718 1
O10 O 0.943 0.981 0.218 1
O11 O 0.981 0.483 0.221 1
O12 O 0.981 0.517 0.721 1
```